(1)
BaHg4Au4: theoretical powder X-ray diffraction pattern (Cu Kα), based on a GGA-PBE-relaxed structure.

Principal peaks in the range 2θ = 10–80°, sorted by position:
2θ/deg, d [Å], intensity
13.30, 6.658, 62
30.01, 2.977, 100
32.83, 2.728, 68
37.90, 2.374, 28
38.24, 2.354, 27
40.66, 2.219, 31
42.65, 2.120, 22
42.86, 2.110, 74
51.26, 1.782, 22
58.79, 1.571, 35

Atomic structure:
Cell lengths 9.4152, 9.4152, 5.7014 Å; angles 90.00, 90.00, 90.00 degrees
Atoms (fractional coordinates):
Ba: 0.2500 0.2500 0.2500
Ba: 0.7500 0.7500 0.7500
Hg: 0.1116 0.6277 0.1479
Hg: 0.1277 0.8884 0.6479
Hg: 0.3723 0.6116 0.6479
Hg: 0.3884 0.8723 0.1479
Hg: 0.6116 0.1277 0.8521
Hg: 0.6277 0.3884 0.3521
Hg: 0.8723 0.1116 0.3521
Hg: 0.8884 0.3723 0.8521
Au: 0.0698 0.5868 0.6573
Au: 0.0868 0.9302 0.1573
Au: 0.4132 0.5698 0.1573
Au: 0.4302 0.9132 0.6573
Au: 0.5698 0.0868 0.3427
Au: 0.5868 0.4302 0.8427
Au: 0.9132 0.0698 0.8427
Au: 0.9302 0.4132 0.3427

***

(2)
Ba8HgAu4: theoretical powder X-ray diffraction pattern (Cu Kα), based on a GGA-PBE-relaxed structure.

Principal peaks in the range 2θ = 10–80°, sorted by position:
2θ/deg, d [Å], intensity
17.99, 4.932, 42
25.30, 3.520, 100
25.68, 3.469, 54
27.50, 3.243, 47
29.74, 3.004, 94
30.54, 2.927, 71
31.07, 2.878, 70
35.85, 2.505, 46
37.70, 2.386, 63
40.46, 2.229, 34

Atomic structure:
Cell lengths 10.7053, 10.7053, 15.2039 Å; angles 130.24, 130.24, 25.76 degrees
Atoms (fractional coordinates):
Ba: 0.0000 0.0000 0.0000
Ba: 0.0043 0.0043 0.5660
Ba: 0.2899 0.2899 0.2753
Ba: 0.3653 0.3653 0.6500
Ba: 0.6507 0.6507 0.3591
Ba: 0.6553 0.6553 0.9252
Ba: 0.7263 0.7263 0.7151
Ba: 0.9287 0.9287 0.2098
Hg: 0.3279 0.3279 0.9624
Au: 0.0070 0.0070 0.7877
Au: 0.1393 0.1393 0.5045
Au: 0.5154 0.5154 0.4202
Au: 0.6483 0.6483 0.1376

***

(3)
BaHg8Au2: theoretical powder X-ray diffraction pattern (Cu Kα), based on a GGA-PBE-relaxed structure.

Principal peaks in the range 2θ = 10–80°, sorted by position:
2θ/deg, d [Å], intensity
22.37, 3.974, 28
24.24, 3.672, 32
27.15, 3.284, 15
28.92, 3.088, 16
34.54, 2.596, 54
36.71, 2.448, 22
38.08, 2.363, 100
53.93, 1.700, 23
64.25, 1.450, 20
71.06, 1.327, 28

Atomic structure:
Cell lengths 7.3438, 7.3438, 6.1751 Å; angles 90.00, 90.00, 90.00 degrees
Atoms (fractional coordinates):
Ba: 0.0000 0.0000 0.0000
Hg: 0.2898 0.2898 0.2511
Hg: 0.2898 0.2898 0.7489
Hg: 0.2898 0.7102 0.2511
Hg: 0.2898 0.7102 0.7489
Hg: 0.7102 0.2898 0.2511
Hg: 0.7102 0.2898 0.7489
Hg: 0.7102 0.7102 0.2511
Hg: 0.7102 0.7102 0.7489
Au: 0.0000 0.5000 0.5000
Au: 0.5000 0.0000 0.5000

***

(4)
BaNa2Hg2Au2: theoretical powder X-ray diffraction pattern (Cu Kα), based on a GGA-PBE-relaxed structure.

Principal peaks in the range 2θ = 10–80°, sorted by position:
2θ/deg, d [Å], intensity
18.65, 4.759, 69
26.03, 3.423, 64
30.28, 2.951, 26
32.68, 2.740, 43
36.40, 2.469, 100
37.81, 2.379, 20
41.20, 2.191, 59
53.49, 1.713, 45
65.49, 1.425, 18
78.18, 1.223, 15

Atomic structure:
Cell lengths 9.9351, 9.9351, 9.9351 Å; angles 28.77, 28.77, 28.77 degrees
Atoms (fractional coordinates):
Ba: 0.0000 0.0000 0.0000
Na: 0.1327 0.1327 0.1327
Na: 0.8673 0.8673 0.8673
Hg: 0.2487 0.2487 0.2487
Hg: 0.7513 0.7513 0.7513
Au: 0.4074 0.4074 0.4074
Au: 0.5926 0.5926 0.5926

***

(5)
Ba3Na2Hg4Au2: theoretical powder X-ray diffraction pattern (Cu Kα), based on a GGA-PBE-relaxed structure.

Principal peaks in the range 2θ = 10–80°, sorted by position:
2θ/deg, d [Å], intensity
21.16, 4.198, 23
22.93, 3.879, 22
29.50, 3.028, 100
35.56, 2.525, 83
41.74, 2.164, 28
43.09, 2.099, 15
46.85, 1.939, 28
57.06, 1.614, 38
60.17, 1.538, 27
63.86, 1.458, 15

Atomic structure:
Cell lengths 5.0496, 5.0496, 16.7917 Å; angles 90.00, 90.00, 120.00 degrees
Atoms (fractional coordinates):
Ba: 0.0000 0.0000 0.0000
Ba: 0.0000 0.0000 0.2485
Ba: 0.0000 0.0000 0.7515
Na: 0.3333 0.6667 0.5614
Na: 0.6667 0.3333 0.4386
Hg: 0.3333 0.6667 0.3686
Hg: 0.3333 0.6667 0.8718
Hg: 0.6667 0.3333 0.1282
Hg: 0.6667 0.3333 0.6314
Au: 0.3333 0.6667 0.1268
Au: 0.6667 0.3333 0.8732

***

(6)
Ba2Hg3Pb4Au: theoretical powder X-ray diffraction pattern (Cu Kα), based on a GGA-PBE-relaxed structure.

Principal peaks in the range 2θ = 10–80°, sorted by position:
2θ/deg, d [Å], intensity
14.49, 6.114, 22
18.73, 4.737, 23
27.94, 3.193, 45
28.58, 3.123, 100
34.92, 2.569, 84
38.49, 2.339, 66
45.30, 2.002, 25
50.22, 1.817, 30
58.80, 1.570, 27
65.00, 1.435, 30

Atomic structure:
Cell lengths 5.1381, 5.1381, 12.2282 Å; angles 90.00, 90.00, 90.00 degrees
Atoms (fractional coordinates):
Ba: 0.0000 0.5000 0.2287
Ba: 0.5000 0.0000 0.7713
Hg: 0.0000 0.0000 0.0000
Hg: 0.0000 0.5000 0.6429
Hg: 0.5000 0.0000 0.3571
Pb: 0.0000 0.0000 0.5000
Pb: 0.0000 0.5000 0.8804
Pb: 0.5000 0.0000 0.1196
Pb: 0.5000 0.5000 0.5000
Au: 0.5000 0.5000 0.0000

***

(7)
Ba2SiHg2Au4: theoretical powder X-ray diffraction pattern (Cu Kα), based on a GGA-PBE-relaxed structure.

Principal peaks in the range 2θ = 10–80°, sorted by position:
2θ/deg, d [Å], intensity
31.52, 2.839, 13
31.66, 2.826, 100
35.64, 2.519, 51
38.80, 2.321, 8
40.64, 2.220, 11
46.71, 1.945, 9
51.28, 1.781, 18
53.69, 1.707, 13
55.16, 1.665, 8
61.52, 1.507, 34

Atomic structure:
Cell lengths 6.8511, 6.8511, 6.8511 Å; angles 117.33, 117.33, 94.69 degrees
Atoms (fractional coordinates):
Ba: 0.2500 0.7500 0.5000
Ba: 0.7500 0.2500 0.5000
Si: 0.0000 0.0000 0.0000
Hg: 0.3261 0.3261 0.0000
Hg: 0.6739 0.6739 0.0000
Au: 0.2463 0.2463 0.4926
Au: 0.2463 0.7537 0.0000
Au: 0.7537 0.2463 0.0000
Au: 0.7537 0.7537 0.5074

***

(8)
Ba2Sn3HgAu4: theoretical powder X-ray diffraction pattern (Cu Kα), based on a GGA-PBE-relaxed structure.

Principal peaks in the range 2θ = 10–80°, sorted by position:
2θ/deg, d [Å], intensity
16.17, 5.482, 21
30.18, 2.962, 100
30.34, 2.946, 50
36.09, 2.489, 83
41.77, 2.163, 51
45.19, 2.007, 18
47.85, 1.901, 29
51.96, 1.760, 30
61.29, 1.512, 34
68.78, 1.365, 24

Atomic structure:
Cell lengths 4.9774, 4.9774, 10.9637 Å; angles 90.00, 90.00, 90.00 degrees
Atoms (fractional coordinates):
Ba: 0.0000 0.5000 0.2458
Ba: 0.5000 0.0000 0.7542
Sn: 0.0000 0.5000 0.8784
Sn: 0.5000 0.0000 0.1216
Sn: 0.5000 0.5000 0.5000
Hg: 0.0000 0.0000 0.5000
Au: 0.0000 0.0000 0.0000
Au: 0.0000 0.5000 0.6293
Au: 0.5000 0.0000 0.3707
Au: 0.5000 0.5000 0.0000

***

(9)
BaSnHg2Au: theoretical powder X-ray diffraction pattern (Cu Kα), based on a GGA-PBE-relaxed structure.

Principal peaks in the range 2θ = 10–80°, sorted by position:
2θ/deg, d [Å], intensity
19.65, 4.518, 18
28.52, 3.129, 28
28.68, 3.113, 28
29.95, 2.983, 100
37.00, 2.429, 40
37.49, 2.399, 39
39.49, 2.282, 61
41.21, 2.191, 20
41.32, 2.185, 20
53.70, 1.707, 28

Atomic structure:
Cell lengths 7.0216, 7.0216, 7.0216 Å; angles 140.05, 139.51, 58.19 degrees
Atoms (fractional coordinates):
Ba: 0.0000 0.0000 0.0000
Sn: 0.2602 0.7602 0.5000
Hg: 0.6109 0.6109 0.0000
Hg: 0.7551 0.2551 0.5000
Au: 0.3829 0.3829 0.0000

***

(10)
BaSn2HgAu: theoretical powder X-ray diffraction pattern (Cu Kα), based on a GGA-PBE-relaxed structure.

Principal peaks in the range 2θ = 10–80°, sorted by position:
2θ/deg, d [Å], intensity
15.41, 5.748, 29
29.32, 3.046, 35
29.58, 3.020, 100
35.77, 2.510, 66
40.38, 2.234, 41
46.90, 1.937, 19
51.49, 1.775, 24
54.41, 1.686, 20
60.50, 1.530, 27
67.39, 1.390, 19

Atomic structure:
Cell lengths 6.7561, 6.7561, 6.7561 Å; angles 136.38, 136.38, 63.39 degrees
Atoms (fractional coordinates):
Ba: 0.0000 0.0000 0.0000
Sn: 0.3738 0.3738 0.0000
Sn: 0.6262 0.6262 0.0000
Hg: 0.7500 0.2500 0.5000
Au: 0.2500 0.7500 0.5000

***

(11)
BaTlHg2Au2: theoretical powder X-ray diffraction pattern (Cu Kα), based on a GGA-PBE-relaxed structure.

Principal peaks in the range 2θ = 10–80°, sorted by position:
2θ/deg, d [Å], intensity
11.84, 7.472, 15
23.82, 3.736, 11
31.49, 2.841, 100
35.55, 2.525, 94
43.25, 2.092, 15
48.22, 1.887, 31
61.32, 1.512, 30
61.78, 1.502, 25
63.85, 1.458, 18
75.26, 1.263, 11

Atomic structure:
Cell lengths 5.0503, 5.0503, 7.4716 Å; angles 90.00, 90.00, 120.00 degrees
Atoms (fractional coordinates):
Ba: 0.0000 0.0000 0.0000
Tl: 0.0000 0.0000 0.5000
Hg: 0.3333 0.6667 0.2820
Hg: 0.6667 0.3333 0.7180
Au: 0.3333 0.6667 0.7224
Au: 0.6667 0.3333 0.2776

***

(12)
BaTlHg2Au: theoretical powder X-ray diffraction pattern (Cu Kα), based on a GGA-PBE-relaxed structure.

Principal peaks in the range 2θ = 10–80°, sorted by position:
2θ/deg, d [Å], intensity
13.17, 6.722, 13
27.60, 3.232, 15
29.97, 2.981, 100
37.93, 2.372, 30
38.06, 2.364, 53
38.49, 2.339, 20
38.61, 2.332, 44
55.24, 1.663, 31
55.64, 1.652, 14
76.41, 1.246, 13

Atomic structure:
Cell lengths 7.5003, 7.5003, 7.5003 Å; angles 143.76, 143.13, 52.66 degrees
Atoms (fractional coordinates):
Ba: 0.0000 0.0000 0.0000
Tl: 0.2639 0.7639 0.5000
Hg: 0.6150 0.6150 0.0000
Hg: 0.7690 0.2690 0.5000
Au: 0.4046 0.4046 0.0000